Structure and theoretical powder diffractogram of Dy3Er2Lu2Ir2Se2 (a crystal structure in OQMD, relaxed with GGA-PBE; Cu Kα).
Lines closer than 0.1° are merged.

Peak list (10 most intense, 2θ = 10–90°, sorted by position)
h k l, 2θ (°), intensity
0 2 0, 11.8, 24
1 3 0, 29.1, 12
1 1 2, 30.8, 38
0 5 1, 31.3, 17
1 4 1, 34.6, 100
1 3 2, 35.2, 29
1 0 3, 37.6, 17
1 2 3, 39.5, 25
2 0 0, 46.7, 20
0 8 2, 52.6, 14

Structural model:
Unit cell a=3.8866 b=15.0558 c=9.1067 alpha=90.00 beta=90.00 gamma=90.00
Space group Imm2 (No. 44)
Symmetry-distinct sites (fractional):
Dy1 0.0000 0.0000 0.0000
Dy2 0.0000 0.3577 0.7435
Er1 0.0000 0.1243 0.5879
Lu1 0.0000 0.3172 0.3745
Ir1 0.0000 0.2404 0.0707
Se1 0.0000 0.0000 0.3398
Se2 0.0000 0.5000 0.2440



Structure and theoretical powder diffractogram of Dy2Y2TmLu2Ni2Te2 (a crystal structure in OQMD, relaxed with GGA-PBE; Cu Kα).
Lines closer than 0.1° are merged.

Peak list (10 most intense, 2θ = 10–90°, sorted by position)
h k l, 2θ (°), intensity
1 0 1, 25.0, 21
0 5 1, 30.2, 25
1 1 2, 30.5, 49
0 3 3, 33.2, 77
1 4 1, 34.1, 100
0 6 0, 34.6, 87
1 0 3, 36.8, 19
2 0 0, 47.3, 33
1 7 2, 51.2, 19
2 3 3, 59.0, 29

Structural model:
Unit cell a=3.8432 b=15.5606 c=9.4973 alpha=90.00 beta=90.00 gamma=90.00
Space group Imm2 (No. 44)
Symmetry-distinct sites (fractional):
Dy1 0.0000 0.1844 0.0000
Y1 0.0000 0.1457 0.6472
Tm1 0.0000 0.5000 0.3799
Lu1 0.0000 0.3666 0.7957
Ni1 0.0000 0.2590 0.3088
Te1 0.0000 0.0000 0.1470
Te2 0.0000 0.5000 0.0380



Repeat the second record exactly.
Structure and theoretical powder diffractogram of Dy2Y2TmLu2Ni2Te2 (a crystal structure in OQMD, relaxed with GGA-PBE; Cu Kα).
Lines closer than 0.1° are merged.

Peak list (10 most intense, 2θ = 10–90°, sorted by position)
h k l, 2θ (°), intensity
1 0 1, 25.0, 21
0 5 1, 30.2, 25
1 1 2, 30.5, 49
0 3 3, 33.2, 77
1 4 1, 34.1, 100
0 6 0, 34.6, 87
1 0 3, 36.8, 19
2 0 0, 47.3, 33
1 7 2, 51.2, 19
2 3 3, 59.0, 29

Structural model:
Unit cell a=3.8432 b=15.5606 c=9.4973 alpha=90.00 beta=90.00 gamma=90.00
Space group Imm2 (No. 44)
Symmetry-distinct sites (fractional):
Dy1 0.0000 0.1844 0.0000
Y1 0.0000 0.1457 0.6472
Tm1 0.0000 0.5000 0.3799
Lu1 0.0000 0.3666 0.7957
Ni1 0.0000 0.2590 0.3088
Te1 0.0000 0.0000 0.1470
Te2 0.0000 0.5000 0.0380